The following is a computed PXRD pattern of Sm4Er11S22. It was derived from a structure optimized by DFT (PBE), using Cu Kα.
Neutral-atom scattering factors, no anomalous dispersion.

```
Sm4Er11S22
1.0
19.5259 -1.9573 0.0000
19.5259 1.9573 0.0000
-0.3007 0.0000 11.2827
Sm Er S
4 11 22
Cartesian
4.1174 0.0000 0.1410
14.2441 0.0000 3.9308
24.5070 0.0000 7.3519
34.6337 0.0000 11.1417
0.0000 0.0000 0.0000
2.6183 0.0000 4.0407
7.6020 0.0000 10.6319
10.2381 0.0000 3.9695
13.1466 0.0000 7.8630
17.9058 0.0000 3.0414
20.8453 0.0000 8.2413
25.6045 0.0000 3.4197
28.5131 0.0000 7.3131
31.1491 0.0000 0.6508
36.1329 0.0000 7.2419
0.2138 0.0000 2.7121
3.2404 0.0000 8.5179
5.1183 0.0000 5.1394
6.5331 0.0000 1.6972
7.1193 0.0000 7.7994
9.9264 0.0000 1.3494
10.7343 0.0000 6.6775
13.6774 0.0000 1.0443
15.6288 0.0000 8.9196
17.1985 0.0000 5.5696
17.6663 0.0000 0.3218
21.0848 0.0000 10.9609
21.5526 0.0000 5.7131
23.1223 0.0000 2.3631
25.0737 0.0000 10.2383
28.0168 0.0000 4.6052
28.8247 0.0000 9.9333
31.6318 0.0000 3.4833
32.2180 0.0000 9.5854
33.6328 0.0000 6.1433
35.5107 0.0000 2.7648
38.5373 0.0000 8.5706
```

Top 10 peaks for 5° ≤ 2θ ≤ 70°, by angle:
23.66°, d = 3.761 Å, rel. 821
24.32°, d = 3.659 Å, rel. 1000
26.58°, d = 3.354 Å, rel. 569
27.44°, d = 3.251 Å, rel. 499
27.87°, d = 3.202 Å, rel. 588
31.66°, d = 2.826 Å, rel. 624
34.10°, d = 2.629 Å, rel. 579
42.33°, d = 2.135 Å, rel. 473
44.36°, d = 2.042 Å, rel. 410
46.39°, d = 1.957 Å, rel. 536


The following is a computed PXRD pattern of Sm2Er4S9. It was derived from a structure optimized by DFT (PBE), using Cu Kα.
Neutral-atom scattering factors, no anomalous dispersion.

```
Sm2Er4S9
1.0
6.9244 0.0000 0.0000
-3.4622 5.9967 0.0000
0.0000 0.0000 18.5236
Sm Er S
4 8 18
Cartesian
0.0000 0.0000 2.7207
0.0000 0.0000 6.5411
0.0000 0.0000 11.9825
0.0000 0.0000 15.8029
0.0000 3.9978 3.4113
0.0000 3.9978 8.9789
0.0000 3.9978 12.6731
0.0000 3.9978 18.2407
3.4622 1.9989 0.2829
3.4622 1.9989 5.8505
3.4622 1.9989 9.5447
3.4622 1.9989 15.1123
-1.0619 1.8392 4.6309
-2.4003 4.1574 13.8927
-1.0963 2.2556 10.8097
-2.0569 3.9194 1.5479
2.1238 0.0000 4.6309
1.0619 1.8392 13.8927
1.0963 2.2556 1.5479
-0.9606 5.8183 10.8097
2.5016 0.1784 16.9757
1.4053 2.0773 7.7139
2.0569 3.9194 10.8097
0.9606 5.8183 1.5479
4.4227 0.1784 7.7139
2.3658 3.7410 16.9757
4.8006 0.0000 13.8927
2.4003 4.1574 4.6309
5.5191 2.0773 16.9757
4.5585 3.7410 7.7139
```

Top 10 peaks for 5° ≤ 2θ ≤ 70°, by angle:
17.62°, d = 5.034 Å, rel. 408
24.28°, d = 3.665 Å, rel. 979
25.73°, d = 3.462 Å, rel. 1000
35.67°, d = 2.517 Å, rel. 468
39.09°, d = 2.304 Å, rel. 814
44.50°, d = 2.036 Å, rel. 467
45.37°, d = 1.999 Å, rel. 483
51.65°, d = 1.770 Å, rel. 246
61.40°, d = 1.510 Å, rel. 207
65.03°, d = 1.434 Å, rel. 196


The following is a computed PXRD pattern of Sm4Er3S8. It was derived from a structure optimized by DFT (PBE), using Cu Kα.
Neutral-atom scattering factors, no anomalous dispersion.

```
Sm4Er3S8
1.0
5.5634 -5.5672 0.0000
5.5634 5.5672 0.0000
-5.5487 0.0000 5.5698
Sm Er S
4 3 8
Cartesian
0.0000 0.0000 0.0000
2.7817 2.7836 0.0000
2.7817 -2.7836 0.0000
2.7891 0.0000 2.7849
0.0074 2.7836 2.7849
0.0074 -2.7836 2.7849
5.5634 0.0000 0.0000
2.7891 2.8251 2.7849
-0.0372 0.0000 2.8332
-2.7169 0.0000 5.5318
5.5634 2.7361 0.0000
5.5634 -2.7361 0.0000
8.2951 0.0000 0.0380
5.6153 0.0000 2.7366
2.7891 -2.8251 2.7849
```

Top 10 peaks for 5° ≤ 2θ ≤ 70°, by angle:
13.77°, d = 6.430 Å, rel. 116
15.92°, d = 5.566 Å, rel. 82
27.76°, d = 3.214 Å, rel. 706
32.16°, d = 2.783 Å, rel. 1000
46.11°, d = 1.969 Å, rel. 599
46.19°, d = 1.965 Å, rel. 119
54.67°, d = 1.679 Å, rel. 292
57.28°, d = 1.608 Å, rel. 125
57.39°, d = 1.606 Å, rel. 124
67.28°, d = 1.392 Å, rel. 115


The following is a computed PXRD pattern of SmEr4S5. It was derived from a structure optimized by DFT (PBE), using Cu Kα.
Neutral-atom scattering factors, no anomalous dispersion.

```
SmEr4S5
1.0
-1.9453 2.7516 9.7483
1.9453 -2.7516 9.7483
1.9453 2.7516 -9.7483
Sm Er S
1 4 5
Cartesian
0.0000 0.0000 0.0000
0.0000 0.0000 3.9351
0.0000 0.0000 7.8093
0.0000 0.0000 11.6873
0.0000 0.0000 15.5615
1.9453 0.0000 2.0422
1.9453 0.0000 5.8668
0.0000 2.7516 0.0000
0.0000 2.7516 3.8815
0.0000 2.7516 7.7061
```

Top 7 peaks for 5° ≤ 2θ ≤ 70°, by angle:
28.07°, d = 3.179 Å, rel. 834
32.52°, d = 2.753 Å, rel. 1000
46.65°, d = 1.947 Å, rel. 599
46.69°, d = 1.945 Å, rel. 120
55.33°, d = 1.660 Å, rel. 406
58.02°, d = 1.590 Å, rel. 248
68.11°, d = 1.377 Å, rel. 115


The following is a computed PXRD pattern of SmErS3. It was derived from a structure optimized by DFT (PBE), using Cu Kα.
Neutral-atom scattering factors, no anomalous dispersion.

```
SmErS3
1.0
7.1184 -1.9458 0.0000
7.1184 1.9458 0.0000
-0.5320 0.0000 8.5839
Sm Er S
2 2 6
Cartesian
1.5908 0.0000 0.7332
12.1142 0.0000 7.8506
4.4990 0.0000 3.1401
9.2059 0.0000 5.4438
1.7680 0.0000 3.6825
3.0325 0.0000 7.1970
6.5326 0.0000 1.3885
7.1724 0.0000 7.1954
10.6725 0.0000 1.3869
11.9370 0.0000 4.9014
```

Top 10 peaks for 5° ≤ 2θ ≤ 70°, by angle:
12.46°, d = 7.105 Å, rel. 257
23.54°, d = 3.779 Å, rel. 545
24.89°, d = 3.577 Å, rel. 356
25.07°, d = 3.552 Å, rel. 286
25.75°, d = 3.460 Å, rel. 1000
31.92°, d = 2.803 Å, rel. 980
37.18°, d = 2.418 Å, rel. 273
39.26°, d = 2.295 Å, rel. 434
39.93°, d = 2.258 Å, rel. 288
42.76°, d = 2.115 Å, rel. 370


The following is a computed PXRD pattern of SmEr2Tm3S6. It was derived from a structure optimized by DFT (PBE), using Cu Kα.
Neutral-atom scattering factors, no anomalous dispersion.

```
SmEr2Tm3S6
1.0
8.4454 -1.9320 0.0000
8.4454 1.9320 0.0000
-1.8279 0.0000 7.5783
Sm Er Tm S
1 2 3 6
Cartesian
0.0000 0.0000 0.0000
4.4261 0.0000 5.0722
10.6368 0.0000 2.5061
-0.9140 0.0000 3.7891
5.3649 0.0000 1.2576
9.6981 0.0000 6.3207
1.7478 0.0000 4.4299
2.7390 0.0000 0.6385
7.9711 0.0000 1.9786
7.0918 0.0000 5.5997
12.3240 0.0000 6.9398
13.3152 0.0000 3.1484
```

Top 10 peaks for 5° ≤ 2θ ≤ 70°, by angle:
28.05°, d = 3.181 Å, rel. 213
28.16°, d = 3.169 Å, rel. 212
28.27°, d = 3.157 Å, rel. 418
32.66°, d = 2.742 Å, rel. 1000
46.60°, d = 1.949 Å, rel. 122
46.82°, d = 1.940 Å, rel. 240
46.98°, d = 1.934 Å, rel. 357
55.49°, d = 1.656 Å, rel. 103
55.70°, d = 1.650 Å, rel. 237
58.48°, d = 1.578 Å, rel. 123


The following is a computed PXRD pattern of SmEr2TmS6. It was derived from a structure optimized by DFT (PBE), using Cu Kα.
Neutral-atom scattering factors, no anomalous dispersion.

```
SmEr2TmS6
1.0
3.4478 1.9906 6.1507
-3.4478 1.9906 6.1507
0.0000 -3.9811 6.1507
Sm Er Tm S
1 2 1 6
Cartesian
0.0000 0.0000 0.0000
0.0000 0.0000 5.4428
0.0000 0.0000 14.7219
0.0000 0.0000 9.1401
-2.0397 -0.0884 7.3009
-1.3428 -1.9953 10.3567
1.0964 -1.7222 7.3009
-1.0566 2.1606 10.3566
0.9433 1.8106 7.3009
2.3994 -0.1653 10.3567
```

Top 10 peaks for 5° ≤ 2θ ≤ 70°, by angle:
17.69°, d = 5.013 Å, rel. 411
24.38°, d = 3.651 Å, rel. 969
25.84°, d = 3.448 Å, rel. 1000
35.82°, d = 2.507 Å, rel. 462
39.26°, d = 2.295 Å, rel. 815
44.70°, d = 2.027 Å, rel. 461
45.57°, d = 1.991 Å, rel. 478
51.86°, d = 1.763 Å, rel. 249
61.68°, d = 1.504 Å, rel. 208
65.32°, d = 1.429 Å, rel. 197